1.
Pa2SiPb: theoretical powder X-ray diffraction pattern (Cu Ka), based on a crystal structure in Alexandria, relaxed with PBE.
Neutral-atom scattering factors, no anomalous dispersion.

Most intense lines, 5 to 70 degrees two-theta, most intense first:
h k l, 2θ (°), I_rel
1 0 2, 34.11, 100.0
1 1 0, 37.03, 50.0
1 0 1, 28.19, 39.1
2 1 2, 64.87, 32.4
1 1 3, 50.34, 24.2
0 0 3, 32.87, 19.4
1 0 5, 62.98, 18.3
2 0 0, 53.37, 17.9
1 0 0, 25.95, 12.4
2 0 3, 64.12, 11.9
1 1 4, 59.09, 10.1
2 1 1, 61.45, 9.3

```
data_Pa2SiPb
_chemical_formula_sum 'Pa2 Si1 Pb1'
_symmetry_space_group_name_H-M 'P 4/m m m'
_symmetry_Int_Tables_number 123
_symmetry_space_group_name_Hall '-P 4 2'
_cell_length_a 3.4332
_cell_length_b 3.4332
_cell_length_c 8.1736
_cell_angle_alpha 90.00
_cell_angle_beta 90.00
_cell_angle_gamma 90.00
loop_
_atom_site_label
_atom_site_fract_x
_atom_site_fract_y
_atom_site_fract_z
Pa1 0.0000 0.0000 0.2049
Si1 0.5000 0.5000 0.0000
Pb1 0.5000 0.5000 0.5000
```


2.
SmPaPb2: theoretical powder X-ray diffraction pattern (Cu Ka), based on a crystal structure in Alexandria, relaxed with PBE.
Neutral-atom scattering factors, no anomalous dispersion.

Most intense lines, 5 to 70 degrees two-theta, most intense first:
h k l, 2θ (°), I_rel
2 2 0, 32.77, 100.0
4 2 2, 58.49, 39.4
4 0 0, 47.02, 18.7
4 4 0, 68.69, 12.3
1 1 1, 19.89, 2.0
3 1 1, 38.63, 1.2
3 3 1, 51.53, 0.6

```
data_SmPaPb2
_chemical_formula_sum 'Sm4 Pa4 Pb8'
_symmetry_space_group_name_H-M 'F m -3 m'
_symmetry_Int_Tables_number 225
_symmetry_space_group_name_Hall '-F 4 2 3'
_cell_length_a 7.7302
_cell_length_b 7.7302
_cell_length_c 7.7302
_cell_angle_alpha 90.00
_cell_angle_beta 90.00
_cell_angle_gamma 90.00
loop_
_atom_site_label
_atom_site_fract_x
_atom_site_fract_y
_atom_site_fract_z
Sm1 0.0000 0.0000 0.0000
Pa1 0.0000 0.0000 0.5000
Pb1 0.2500 0.2500 0.2500
```


3.
PaTcPb: theoretical powder X-ray diffraction pattern (Cu Ka), based on a crystal structure in Alexandria, relaxed with PBE.
Neutral-atom scattering factors, no anomalous dispersion.

Most intense lines, 5 to 70 degrees two-theta, most intense first:
h k l, 2θ (°), I_rel
1 0 7, 36.47, 100.0
1 1 0, 35.16, 92.1
1 0 3, 27.18, 77.7
2 1 7, 63.94, 39.8
2 0 0, 50.57, 33.3
0 0 2, 7.49, 29.1
2 1 3, 58.35, 19.7
1 1 8, 47.09, 19.0
1 0 5, 31.20, 16.2
0 0 8, 30.31, 15.4
1 1 10, 52.84, 13.9
1 0 15, 64.64, 13.8

```
data_PaTcPb
_chemical_formula_sum 'Pa4 Tc4 Pb4'
_symmetry_space_group_name_H-M 'I 4/m m m'
_symmetry_Int_Tables_number 139
_symmetry_space_group_name_Hall '-I 4 2'
_cell_length_a 3.6100
_cell_length_b 3.6100
_cell_length_c 23.5916
_cell_angle_alpha 90.00
_cell_angle_beta 90.00
_cell_angle_gamma 90.00
loop_
_atom_site_label
_atom_site_fract_x
_atom_site_fract_y
_atom_site_fract_z
Pa1 0.0000 0.0000 0.1649
Tc1 0.0000 0.0000 0.2726
Pb1 0.0000 0.0000 0.4339
```